# Tl3Co3O8
Theoretical powder X-ray diffraction pattern, Cu Ka. Input: a structure optimized by DFT (GGA+U).
Lines closer than 0.1° are merged.

Structural model:
```
data_Tl3Co3O8
_cell_length_a 5.5809
_cell_length_b 5.5903
_cell_length_c 11.3317
_cell_angle_alpha 90.04
_cell_angle_beta 90.13
_cell_angle_gamma 90.01
_space_group_name_H-M_alt 'P 1'
_space_group_IT_number 1
loop_
_space_group_symop_operation_xyz
'x,y,z'
loop_
_atom_site_label
_atom_site_type_symbol
_atom_site_fract_x
_atom_site_fract_y
_atom_site_fract_z
_atom_site_occupancy
Tl1 Tl 0.0000 0.0000 0.0000 1
Tl2 Tl 0.0033 0.9966 0.3587 1
Tl3 Tl 0.5323 0.4958 0.0009 1
Tl4 Tl 0.5358 0.4998 0.3594 1
Tl5 Tl 0.5397 0.5983 0.6819 1
Tl6 Tl 0.9963 0.0987 0.6782 1
Co1 Co 0.0274 0.5493 0.5094 1
Co2 Co 0.0321 0.5478 0.8465 1
Co3 Co 0.0687 0.4917 0.1773 1
Co4 Co 0.4667 0.9915 0.1824 1
Co5 Co 0.5035 0.0477 0.5142 1
Co6 Co 0.5094 0.0488 0.8507 1
O1 O 0.1341 0.4851 0.6845 1
O2 O 0.1387 0.1387 0.1796 1
O3 O 0.2174 0.2583 0.9005 1
O4 O 0.2214 0.2512 0.4633 1
O5 O 0.3146 0.7512 0.8964 1
O6 O 0.3196 0.7587 0.4588 1
O7 O 0.3972 0.6386 0.1793 1
O8 O 0.4013 0.9843 0.6755 1
O9 O 0.6184 0.1025 0.0358 1
O10 O 0.6181 0.1039 0.3303 1
O11 O 0.7052 0.3503 0.5472 1
O12 O 0.7170 0.3575 0.8150 1
O13 O 0.8192 0.8584 0.5446 1
O14 O 0.8296 0.8504 0.8123 1
O15 O 0.9168 0.6042 0.3234 1
O16 O 0.9201 0.6007 0.0281 1
```

The 10 most intense peaks (10° ≤ 2θ ≤ 80°), in order of rising 2θ:
| 2theta | Rel. int. |
| --- | --- |
| 22.5 | 35 |
| 23.6 | 17 |
| 32.1 | 53 |
| 32.8 | 100 |
| 40.1 | 15 |
| 46.0 | 20 |
| 48.2 | 11 |
| 57.6 | 23 |
| 57.7 | 11 |
| 59.0 | 14 |


# MgMn12O17F7
Theoretical powder X-ray diffraction pattern, Cu Ka. Input: a structure optimized by DFT (GGA+U).
Lines closer than 0.1° are merged.

Structural model:
```
data_MgMn12O17F7
_cell_length_a 4.7841
_cell_length_b 5.7208
_cell_length_c 14.9918
_cell_angle_alpha 90.59
_cell_angle_beta 93.48
_cell_angle_gamma 90.16
_space_group_name_H-M_alt 'P 1'
_space_group_IT_number 1
loop_
_space_group_symop_operation_xyz
'x,y,z'
loop_
_atom_site_label
_atom_site_type_symbol
_atom_site_fract_x
_atom_site_fract_y
_atom_site_fract_z
_atom_site_occupancy
Mg1 Mg 0.0000 0.0000 0.0000 1
Mn1 Mn 0.0110 0.5808 0.6704 1
Mn2 Mn 0.0370 0.2893 0.8342 1
Mn3 Mn 0.4405 0.7346 0.1729 1
Mn4 Mn 0.4540 0.0939 0.3370 1
Mn5 Mn 0.4620 0.7470 0.4948 1
Mn6 Mn 0.4828 0.2696 0.0004 1
Mn7 Mn 0.4862 0.7643 0.8323 1
Mn8 Mn 0.5061 0.0845 0.6585 1
Mn9 Mn 0.9652 0.2596 0.1837 1
Mn10 Mn 0.9810 0.5538 0.3436 1
Mn11 Mn 0.9891 0.5227 0.0111 1
Mn12 Mn 0.9972 0.2882 0.5087 1
O1 O 0.1694 0.2750 0.0719 1
O2 O 0.1690 0.5174 0.2339 1
O3 O 0.1944 0.7554 0.0665 1
O4 O 0.1995 0.3205 0.4012 1
O5 O 0.2180 0.5270 0.5650 1
O6 O 0.2442 0.0378 0.2275 1
O7 O 0.2490 0.7988 0.3876 1
O8 O 0.2522 0.5174 0.9159 1
O9 O 0.2653 0.0411 0.5523 1
O10 O 0.2817 0.0558 0.9035 1
O11 O 0.2879 0.8244 0.7196 1
O12 O 0.7033 0.4756 0.0951 1
O13 O 0.7412 0.3060 0.2814 1
O14 O 0.7620 0.5322 0.4468 1
O15 O 0.7951 0.3001 0.6150 1
O16 O 0.8039 0.2764 0.9390 1
O17 O 0.8250 0.5455 0.7805 1
F1 F 0.2936 0.3254 0.7358 1
F2 F 0.7165 0.7892 0.2801 1
F3 F 0.7177 0.7958 0.6016 1
F4 F 0.7207 0.0148 0.1047 1
F5 F 0.7223 0.0523 0.4445 1
F6 F 0.7551 0.7615 0.9460 1
F7 F 0.7557 0.0473 0.7745 1
```

The 10 most intense peaks (10° ≤ 2θ ≤ 80°), in order of rising 2θ:
| 2theta | Rel. int. |
| --- | --- |
| 24.3 | 100 |
| 29.5 | 80 |
| 29.6 | 77 |
| 30.8 | 61 |
| 31.1 | 55 |
| 36.0 | 44 |
| 41.3 | 28 |
| 51.3 | 40 |
| 54.8 | 33 |
| 65.2 | 29 |